(1)
Computed powder diffraction line list
Compound: Dy6Y2Th3
Radiation: Cu Kα (weighted mean of Kα1 and Kα2)
Structure: a DFT-relaxed cell (GGA-PBE, Alexandria)
No peak broadening, texture or thermal motion is included.

Most intense lines, 2θ = 10–80°, low angle first:
2θ = 30.72°, I 100; 2θ = 31.03°, I 32; 2θ = 35.71°, I 67; 2θ = 51.20°, I 25; 2θ = 51.60°, I 23; 2θ = 60.90°, I 14; 2θ = 61.08°, I 28; 2θ = 61.44°, I 14; 2θ = 63.99°, I 12; 2θ = 75.65°, I 8

Crystal structure
a b c (Å): 31.774 31.774 31.774
angles (deg): 6.44 6.44 6.44
Element x y z (fractional)
1 Dy 0.090 0.090 0.090
2 Dy 0.182 0.182 0.182
3 Dy 0.363 0.363 0.363
4 Dy 0.637 0.637 0.637
5 Dy 0.818 0.818 0.818
6 Dy 0.910 0.910 0.910
7 Y 0.454 0.454 0.454
8 Y 0.546 0.546 0.546
9 Th 0.000 0.000 0.000
10 Th 0.273 0.273 0.273
11 Th 0.727 0.727 0.727

=====

(2)
Computed powder diffraction line list
Compound: LiZn2Pd4
Radiation: Cu Kα (weighted mean of Kα1 and Kα2)
Structure: a DFT-relaxed cell (GGA-PBE, Alexandria)
No peak broadening, texture or thermal motion is included.

Most intense lines, 2θ = 10–80°, low angle first:
2θ = 21.18°, I 18; 2θ = 29.42°, I 17; 2θ = 30.13°, I 31; 2θ = 36.54°, I 9; 2θ = 42.62°, I 100; 2θ = 43.13°, I 48; 2θ = 53.07°, I 13; 2θ = 62.65°, I 15; 2θ = 77.65°, I 16; 2θ = 78.73°, I 31

Crystal structure
a b c (Å): 5.178 5.178 5.178
angles (deg): 110.11 110.11 108.21
Element x y z (fractional)
1 Li 0.000 0.000 0.000
2 Zn 0.000 0.500 0.500
3 Zn 0.500 0.000 0.500
4 Pd 0.000 0.000 0.500
5 Pd 0.000 0.500 0.000
6 Pd 0.500 0.000 0.000
7 Pd 0.500 0.500 0.500

=====

(3)
Computed powder diffraction line list
Compound: Fe2NiPt2Rh
Radiation: Cu Kα (weighted mean of Kα1 and Kα2)
Structure: a DFT-relaxed cell (GGA-PBE, Alexandria)
No peak broadening, texture or thermal motion is included.

Most intense lines, 2θ = 10–80°, low angle first:
2θ = 29.42°, I 59; 2θ = 34.31°, I 14; 2θ = 41.95°, I 100; 2θ = 42.22°, I 77; 2θ = 52.06°, I 13; 2θ = 55.27°, I 21; 2θ = 61.04°, I 25; 2θ = 69.00°, I 12; 2θ = 76.75°, I 14; 2θ = 76.85°, I 17

Crystal structure
a b c (Å): 5.227 7.454 4.310
angles (deg): 90.00 90.00 90.00
Element x y z (fractional)
1 Fe 0.241 0.171 0.000
2 Fe 0.259 0.671 0.500
3 Fe 0.741 0.329 0.500
4 Fe 0.759 0.829 0.000
5 Ni 0.000 0.500 0.000
6 Ni 0.500 0.000 0.500
7 Pt 0.239 0.338 0.500
8 Pt 0.261 0.838 0.000
9 Pt 0.739 0.162 0.000
10 Pt 0.761 0.662 0.500
11 Rh 0.000 0.000 0.500
12 Rh 0.500 0.500 0.000